Starting from a structure optimized by DFT (PBE), the powder diffractogram of BeZn2Au8 was calculated for Cu Kα.
Neutral-atom scattering factors, no anomalous dispersion.

Peak list (12 most intense, 2θ from 5° to 70°, in order of rising 2θ)
d_spacing  Position (°2θ)  I_rel
3.874  22.96  11
2.853  31.36  28
2.716  32.98  19
2.527  35.53  17
2.324  38.75  10
2.314  38.92  20
2.297  39.22  100
2.045  44.29  12
2.030  44.64  13
2.004  45.24  25
1.937  46.90  11
1.798  50.77  11

Structural model:
a b c (Å): 7.4912 7.4912 7.4912
angles (deg): 148.96 117.71 71.22
Fractional positions:
1 Be 0.0000 0.0000 0.0000
2 Zn 0.3096 0.3096 0.0000
3 Zn 0.6904 0.6904 0.0000
4 Au 0.1021 0.8379 0.2642
5 Au 0.1215 0.6215 0.5000
6 Au 0.3204 0.5000 0.8204
7 Au 0.4264 0.1621 0.2642
8 Au 0.5736 0.8379 0.7358
9 Au 0.6796 0.5000 0.1796
10 Au 0.8785 0.3785 0.5000
11 Au 0.8979 0.1621 0.7358